Simulated X-ray diffraction stick pattern of La2PrZn2Cu2Si4 for CuKα, from a crystal structure in OQMD, relaxed with PBE.

Most intense lines, 2θ = 10–90°, low angle first:
- 2θ = 23.85°, 3.730 Å, intensity 18
- 2θ = 27.94°, 3.193 Å, intensity 9
- 2θ = 33.44°, 2.680 Å, intensity 100
- 2θ = 39.67°, 2.272 Å, intensity 16
- 2θ = 42.70°, 2.117 Å, intensity 16
- 2θ = 43.05°, 2.101 Å, intensity 16
- 2θ = 55.54°, 1.655 Å, intensity 12
- 2θ = 62.25°, 1.491 Å, intensity 10
- 2θ = 69.45°, 1.353 Å, intensity 10
- 2θ = 72.29°, 1.307 Å, intensity 10

Atomic structure:
```
data_La2PrZn2Cu2Si4
_space_group_name_H-M_alt 'P 1'
_space_group_IT_number 1
_space_group_name_Hall 'P 1'
_cell_length_a 12.511
_cell_length_b 12.511
_cell_length_c 12.511
_cell_angle_alpha 160.66
_cell_angle_beta 160.51
_cell_angle_gamma 27.59
loop_
_atom_site_label
_atom_site_type_symbol
_atom_site_fract_x
_atom_site_fract_y
_atom_site_fract_z
La1 La 0.152 0.152 0.000
La2 La 0.848 0.848 0.000
Pr1 Pr 0.000 0.500 0.500
Zn1 Zn 0.402 0.402 0.000
Zn2 Zn 0.598 0.598 0.000
Cu1 Cu 0.250 0.750 0.500
Cu2 Cu 0.750 0.250 0.500
Si1 Si 0.302 0.302 0.000
Si2 Si 0.452 0.952 0.500
Si3 Si 0.548 0.048 0.500
Si4 Si 0.698 0.698 0.000
```

---

Simulated X-ray diffraction stick pattern of La2PrZn2Cu2Si4 for CuKα, from a crystal structure in OQMD, relaxed with PBE.

Most intense lines, 2θ = 10–90°, low angle first:
- 2θ = 23.90°, 3.724 Å, intensity 22
- 2θ = 33.17°, 2.701 Å, intensity 38
- 2θ = 33.50°, 2.675 Å, intensity 100
- 2θ = 42.84°, 2.111 Å, intensity 20
- 2θ = 43.30°, 2.090 Å, intensity 20
- 2θ = 46.03°, 1.972 Å, intensity 18
- 2θ = 55.61°, 1.653 Å, intensity 17
- 2θ = 62.55°, 1.485 Å, intensity 13
- 2θ = 64.69°, 1.441 Å, intensity 13
- 2θ = 72.52°, 1.303 Å, intensity 10

Atomic structure:
```
data_La2PrZn2Cu2Si4
_space_group_name_H-M_alt 'P 1'
_space_group_IT_number 1
_space_group_name_Hall 'P 1'
_cell_length_a 12.655
_cell_length_b 12.655
_cell_length_c 12.655
_cell_angle_alpha 160.99
_cell_angle_beta 160.80
_cell_angle_gamma 27.15
loop_
_atom_site_label
_atom_site_type_symbol
_atom_site_fract_x
_atom_site_fract_y
_atom_site_fract_z
La1 La 0.145 0.145 0.000
La2 La 0.855 0.855 0.000
Pr1 Pr 0.000 0.500 0.500
Zn1 Zn 0.250 0.750 0.500
Zn2 Zn 0.750 0.250 0.500
Cu1 Cu 0.406 0.406 0.000
Cu2 Cu 0.594 0.594 0.000
Si1 Si 0.310 0.310 0.000
Si2 Si 0.451 0.951 0.500
Si3 Si 0.549 0.049 0.500
Si4 Si 0.690 0.690 0.000
```

---

Simulated X-ray diffraction stick pattern of RbLa2Cu3S5 for CuKα, from a crystal structure in OQMD, relaxed with PBE.

Most intense lines, 2θ = 10–90°, low angle first:
- 2θ = 25.88°, 3.442 Å, intensity 45
- 2θ = 27.46°, 3.248 Å, intensity 89
- 2θ = 29.02°, 3.077 Å, intensity 34
- 2θ = 29.48°, 3.030 Å, intensity 37
- 2θ = 30.82°, 2.901 Å, intensity 100
- 2θ = 35.74°, 2.512 Å, intensity 47
- 2θ = 38.92°, 2.314 Å, intensity 29
- 2θ = 40.33°, 2.236 Å, intensity 27
- 2θ = 44.38°, 2.041 Å, intensity 49
- 2θ = 46.98°, 1.934 Å, intensity 41

Atomic structure:
```
data_RbLa2Cu3S5
_space_group_name_H-M_alt 'P 1'
_space_group_IT_number 1
_space_group_name_Hall 'P 1'
_cell_length_a 7.314
_cell_length_b 7.314
_cell_length_c 17.410
_cell_angle_alpha 90.00
_cell_angle_beta 90.00
_cell_angle_gamma 147.60
loop_
_atom_site_label
_atom_site_type_symbol
_atom_site_fract_x
_atom_site_fract_y
_atom_site_fract_z
Rb1 Rb 0.067 0.933 0.750
Rb2 Rb 0.933 0.067 0.250
La1 La 0.191 0.809 0.093
La2 La 0.191 0.809 0.407
La3 La 0.809 0.191 0.593
La4 La 0.809 0.191 0.907
Cu1 Cu 0.343 0.657 0.750
Cu2 Cu 0.419 0.581 0.041
Cu3 Cu 0.419 0.581 0.459
Cu4 Cu 0.581 0.419 0.541
Cu5 Cu 0.581 0.419 0.959
Cu6 Cu 0.657 0.343 0.250
S1 S 0.160 0.840 0.568
S2 S 0.160 0.840 0.932
S3 S 0.234 0.766 0.250
S4 S 0.444 0.556 0.617
S5 S 0.444 0.556 0.883
S6 S 0.556 0.444 0.117
S7 S 0.556 0.444 0.383
S8 S 0.766 0.234 0.750
S9 S 0.840 0.160 0.068
S10 S 0.840 0.160 0.432
```

---

Simulated X-ray diffraction stick pattern of Rb2La4Cu4Se9 for CuKα, from a crystal structure in OQMD, relaxed with PBE.

Most intense lines, 2θ = 10–90°, low angle first:
- 2θ = 12.65°, 6.999 Å, intensity 72
- 2θ = 27.63°, 3.229 Å, intensity 75
- 2θ = 28.03°, 3.183 Å, intensity 100
- 2θ = 28.33°, 3.151 Å, intensity 67
- 2θ = 29.49°, 3.029 Å, intensity 60
- 2θ = 30.05°, 2.974 Å, intensity 84
- 2θ = 36.92°, 2.434 Å, intensity 60
- 2θ = 40.85°, 2.209 Å, intensity 78
- 2θ = 42.32°, 2.136 Å, intensity 97
- 2θ = 42.96°, 2.105 Å, intensity 48

Atomic structure:
```
data_Rb2La4Cu4Se9
_space_group_name_H-M_alt 'P 1'
_space_group_IT_number 1
_space_group_name_Hall 'P 1'
_cell_length_a 7.704
_cell_length_b 7.704
_cell_length_c 17.215
_cell_angle_alpha 108.23
_cell_angle_beta 108.23
_cell_angle_gamma 32.19
loop_
_atom_site_label
_atom_site_type_symbol
_atom_site_fract_x
_atom_site_fract_y
_atom_site_fract_z
Rb1 Rb 0.028 0.028 0.268
Rb2 Rb 0.972 0.972 0.732
La1 La 0.232 0.232 0.103
La2 La 0.344 0.344 0.446
La3 La 0.656 0.656 0.554
La4 La 0.768 0.768 0.897
Cu1 Cu 0.243 0.243 0.726
Cu2 Cu 0.428 0.428 0.031
Cu3 Cu 0.572 0.572 0.969
Cu4 Cu 0.757 0.757 0.274
Se1 Se 0.000 0.000 0.500
Se2 Se 0.131 0.131 0.924
Se3 Se 0.303 0.303 0.607
Se4 Se 0.346 0.346 0.277
Se5 Se 0.397 0.397 0.875
Se6 Se 0.603 0.603 0.125
Se7 Se 0.654 0.654 0.723
Se8 Se 0.697 0.697 0.393
Se9 Se 0.869 0.869 0.076
```